For K4Ni3F10, a cell relaxed with PBE+U gives the calculated powder diffraction line list in this record (Cu Kα).
Peak positions follow from Bragg's law for the DFT cell and can differ from measured ones.

Cell and atoms:
a b c (Å): 14.996 14.996 14.996
angles (deg): 164.41 164.41 22.11
Atoms (fractional coordinates):
K1 0.069 0.069 0.000
K2 0.203 0.203 0.000
K3 0.797 0.797 0.000
K4 0.931 0.931 0.000
Ni1 0.361 0.361 0.000
Ni2 0.500 0.500 0.000
Ni3 0.639 0.639 0.000
F1 0.000 0.500 0.500
F2 0.138 0.638 0.500
F3 0.293 0.293 0.000
F4 0.362 0.862 0.500
F5 0.431 0.431 0.000
F6 0.500 0.000 0.500
F7 0.569 0.569 0.000
F8 0.638 0.138 0.500
F9 0.707 0.707 0.000
F10 0.862 0.362 0.500

The 8 most intense peaks (2θ = 10–90°), sorted by position:
- 18.08 deg, d = 4.906 Å, I 19
- 22.06 deg, d = 4.029 Å, I 30
- 30.58 deg, d = 2.924 Å, I 100
- 31.10 deg, d = 2.876 Å, I 68
- 43.02 deg, d = 2.103 Å, I 31
- 44.55 deg, d = 2.034 Å, I 69
- 55.00 deg, d = 1.670 Å, I 35
- 63.66 deg, d = 1.462 Å, I 32